# 1
Diffraction record for Fe2Si2SbO9. The powder XRD pattern is calculated, not measured: it uses a crystal structure in the Materials Project, relaxed with GGA+U and copper Kα.
Peak positions follow from Bragg's law for the DFT cell and can differ from measured ones.

Main lines, by intensity (15° ≤ 2θ ≤ 90°):
2θ = 24.30°, I = 100; 2θ = 27.28°, I = 78; 2θ = 22.68°, I = 69; 2θ = 34.45°, I = 32; 2θ = 20.95°, I = 28; 2θ = 34.11°, I = 24; 2θ = 29.90°, I = 22; 2θ = 34.53°, I = 22; 2θ = 30.04°, I = 20; 2θ = 32.46°, I = 20

```
data_Fe2Si2SbO9
_chemical_formula_sum 'Fe2 Si2 Sb1 O9'
_space_group_name_H-M_alt 'P 1'
_space_group_IT_number 1
_space_group_name_Hall 'P 1'
_cell_length_a 5.222
_cell_length_b 5.234
_cell_length_c 8.111
_cell_angle_alpha 95.51
_cell_angle_beta 95.90
_cell_angle_gamma 119.03
loop_
_atom_site_label
_atom_site_fract_x
_atom_site_fract_y
_atom_site_fract_z
Fe1 0.000 0.000 0.000
Fe2 0.324 0.671 0.995
Si1 0.198 0.214 0.646
Si2 0.540 0.869 0.645
Sb1 0.742 0.415 0.249
O1 0.028 0.684 0.867
O2 0.044 0.377 0.131
O3 0.241 0.291 0.850
O4 0.342 0.516 0.562
O5 0.354 0.027 0.584
O6 0.373 0.037 0.137
O7 0.622 0.907 0.849
O8 0.689 0.709 0.128
O9 0.844 0.015 0.563
```

# 2
Diffraction record for Li3Co2Ge2O8. The powder XRD pattern is calculated, not measured: it uses a crystal structure in the Materials Project, relaxed with GGA+U and copper Kα.
Peak positions follow from Bragg's law for the DFT cell and can differ from measured ones.

Main lines, by intensity (15° ≤ 2θ ≤ 90°):
2θ = 23.60°, I = 100; 2θ = 15.80°, I = 97; 2θ = 23.34°, I = 94; 2θ = 28.23°, I = 71; 2θ = 34.91°, I = 63; 2θ = 32.45°, I = 36; 2θ = 37.05°, I = 35; 2θ = 32.58°, I = 32; 2θ = 31.90°, I = 30; 2θ = 45.49°, I = 30

```
data_Li3Co2Ge2O8
_chemical_formula_sum 'Li3 Co2 Ge2 O8'
_space_group_name_H-M_alt 'P 1'
_space_group_IT_number 1
_space_group_name_Hall 'P 1'
_cell_length_a 5.140
_cell_length_b 5.611
_cell_length_c 6.322
_cell_angle_alpha 89.75
_cell_angle_beta 89.94
_cell_angle_gamma 89.37
loop_
_atom_site_label
_atom_site_fract_x
_atom_site_fract_y
_atom_site_fract_z
Li1 0.000 0.000 0.000
Li2 0.002 0.997 0.501
Li3 0.493 0.669 0.999
Co1 0.502 0.169 0.252
Co2 0.990 0.503 0.746
Ge1 0.496 0.176 0.751
Ge2 0.990 0.500 0.249
O1 0.073 0.655 0.482
O2 0.101 0.655 0.016
O3 0.122 0.199 0.250
O4 0.147 0.179 0.751
O5 0.598 0.011 0.985
O6 0.614 0.043 0.515
O7 0.620 0.467 0.772
O8 0.646 0.476 0.228
```

# 3
Diffraction record for MgFe8O8F8. The powder XRD pattern is calculated, not measured: it uses a crystal structure in the Materials Project, relaxed with GGA+U and copper Kα.
Peak positions follow from Bragg's law for the DFT cell and can differ from measured ones.

Main lines, by intensity (15° ≤ 2θ ≤ 90°):
2θ = 33.81°, I = 100; 2θ = 27.34°, I = 75; 2θ = 52.58°, I = 56; 2θ = 30.95°, I = 42; 2θ = 39.76°, I = 37; 2θ = 24.04°, I = 36; 2θ = 56.46°, I = 25; 2θ = 58.54°, I = 21; 2θ = 56.38°, I = 18; 2θ = 63.92°, I = 18

```
data_MgFe8O8F8
_chemical_formula_sum 'Mg1 Fe8 O8 F8'
_space_group_name_H-M_alt 'P 1 m 1'
_space_group_IT_number 6
_space_group_name_Hall 'P -2y'
_cell_length_a 9.860
_cell_length_b 3.153
_cell_length_c 9.878
_cell_angle_alpha 90.00
_cell_angle_beta 97.23
_cell_angle_gamma 90.00
loop_
_atom_site_label
_atom_site_fract_x
_atom_site_fract_y
_atom_site_fract_z
Mg1 0.000 0.000 0.000
Fe1 0.013 0.500 0.715
Fe2 0.269 0.000 0.481
Fe3 0.357 0.000 0.963
Fe4 0.454 0.500 0.258
Fe5 0.497 0.500 0.719
Fe6 0.673 0.000 0.054
Fe7 0.727 0.000 0.469
Fe8 0.938 0.500 0.263
O1 0.317 0.500 0.388
O2 0.368 0.000 0.155
O3 0.387 0.500 0.859
O4 0.423 0.000 0.626
O5 0.565 0.000 0.354
O6 0.600 0.500 0.112
O7 0.819 0.500 0.394
O8 0.862 0.000 0.141
F1 0.057 0.000 0.349
F2 0.078 0.500 0.112
F3 0.109 0.000 0.839
F4 0.161 0.500 0.580
F5 0.634 0.000 0.852
F6 0.665 0.500 0.601
F7 0.901 0.000 0.624
F8 0.907 0.500 0.894
```